Record 1
Calculated powder diffraction line list of Na8B13C3 for Cu Kα (weighted mean of Kα1 and Kα2), from a DFT-relaxed cell (PBE, Alexandria).

Peak list (10 most intense, 15 to 90 degrees two-theta, most intense first)
- 2θ 41.95, I = 100
- 2θ 39.76, I = 50
- 2θ 41.63, I = 38
- 2θ 61.93, I = 18
- 2θ 77.41, I = 18
- 2θ 36.21, I = 16
- 2θ 74.70, I = 14
- 2θ 33.71, I = 14
- 2θ 76.20, I = 13
- 2θ 56.34, I = 9

Structural model:
```
24
Lattice="2.805 0.000 0.000 0.000 17.354 0.000 0.000 0.000 5.317" Properties=species:S:1:pos:R:3 pbc="T T T"
Na 0.000 2.167 0.000
Na 0.000 6.503 5.315
Na 0.000 10.852 5.315
Na 0.000 15.187 0.000
Na 1.402 2.167 2.659
Na 1.402 6.515 2.667
Na 1.402 10.839 2.667
Na 1.402 15.187 2.659
B 0.000 0.000 3.374
B 0.000 4.327 1.945
B 0.000 8.677 1.836
B 0.000 8.677 3.485
B 0.000 13.027 1.945
B 1.402 0.000 0.965
B 1.402 0.000 4.519
B 1.402 4.326 0.801
B 1.402 4.327 4.353
B 1.402 8.677 0.829
B 1.402 8.677 4.492
B 1.402 13.028 0.801
B 1.402 13.027 4.353
C 0.000 0.000 1.798
C 0.000 4.325 3.520
C 0.000 13.029 3.520
```

Record 2
Calculated powder diffraction line list of Tm4ZrSn for Cu Kα (weighted mean of Kα1 and Kα2), from a DFT-relaxed cell (PBE, Alexandria).

Peak list (10 most intense, 15 to 90 degrees two-theta, most intense first)
- 2θ 34.73, I = 100
- 2θ 35.55, I = 47
- 2θ 63.31, I = 35
- 2θ 24.93, I = 31
- 2θ 21.22, I = 21
- 2θ 61.71, I = 19
- 2θ 23.78, I = 17
- 2θ 51.15, I = 17
- 2θ 43.22, I = 14
- 2θ 73.29, I = 11

Structural model:
```
6
Lattice="5.051 0.000 0.000 0.000 5.051 0.000 0.000 0.000 7.482" Properties=species:S:1:pos:R:3 pbc="T T T"
Tm 0.000 2.525 1.808
Tm 0.000 2.525 5.674
Tm 2.525 0.000 1.808
Tm 2.525 0.000 5.674
Zr 0.000 0.000 0.000
Sn 2.525 2.525 3.741
```

Record 3
Calculated powder diffraction line list of SrSmAu3 for Cu Kα (weighted mean of Kα1 and Kα2), from a DFT-relaxed cell (PBE, Alexandria).

Peak list (10 most intense, 15 to 90 degrees two-theta, most intense first)
- 2θ 31.22, I = 100
- 2θ 41.34, I = 55
- 2θ 36.86, I = 53
- 2θ 22.82, I = 38
- 2θ 38.74, I = 36
- 2θ 60.47, I = 25
- 2θ 31.55, I = 25
- 2θ 46.15, I = 22
- 2θ 61.79, I = 19
- 2θ 71.90, I = 14

Structural model:
```
10
Lattice="1.967 -14.318 0.000 1.967 14.318 0.000 0.000 0.000 4.649" Properties=species:S:1:pos:R:3 pbc="T T T"
Sr 1.967 12.211 3.487
Sr 1.967 -12.211 1.162
Sm 1.967 8.449 1.162
Sm 1.967 -8.449 3.487
Au 1.967 5.377 1.162
Au 1.967 3.549 3.487
Au 1.967 0.771 3.487
Au 1.967 -0.771 1.162
Au 1.967 -3.549 1.162
Au 1.967 -5.377 3.487
```

Record 4
Calculated powder diffraction line list of BaBe for Cu Kα (weighted mean of Kα1 and Kα2), from a DFT-relaxed cell (PBE, Alexandria).

Peak list (10 most intense, 15 to 90 degrees two-theta, most intense first)
- 2θ 22.98, I = 100
- 2θ 23.44, I = 98
- 2θ 25.76, I = 67
- 2θ 21.03, I = 52
- 2θ 31.34, I = 46
- 2θ 44.60, I = 41
- 2θ 31.71, I = 40
- 2θ 33.03, I = 36
- 2θ 46.46, I = 26
- 2θ 50.32, I = 25

Structural model:
```
16
Lattice="8.695 0.000 0.000 0.000 7.744 0.000 0.000 0.000 8.449" Properties=species:S:1:pos:R:3 pbc="T T T"
Ba 0.980 1.936 1.709
Ba 1.991 1.936 5.828
Ba 2.357 5.808 1.604
Ba 3.368 5.808 5.933
Ba 5.328 1.936 2.516
Ba 6.339 1.936 6.845
Ba 6.704 5.808 2.621
Ba 7.715 5.808 6.740
Be 0.627 4.708 4.171
Be 0.627 6.908 4.171
Be 3.721 0.836 8.395
Be 3.721 3.036 8.395
Be 4.974 4.708 0.054
Be 4.974 6.908 0.054
Be 8.069 0.836 4.278
Be 8.069 3.036 4.278
```

Record 5
Calculated powder diffraction line list of NaHgH for Cu Kα (weighted mean of Kα1 and Kα2), from a DFT-relaxed cell (PBE, Alexandria).

Peak list (10 most intense, 15 to 90 degrees two-theta, most intense first)
- 2θ 33.15, I = 100
- 2θ 16.40, I = 49
- 2θ 28.60, I = 47
- 2θ 44.34, I = 30
- 2θ 61.89, I = 30
- 2θ 59.22, I = 23
- 2θ 50.66, I = 17
- 2θ 53.61, I = 15
- 2θ 83.96, I = 13
- 2θ 81.62, I = 12

Structural model:
```
3
Lattice="3.604 0.000 0.000 -1.802 3.121 0.000 0.000 0.000 5.404" Properties=species:S:1:pos:R:3 pbc="T T T"
Na 0.000 0.000 0.000
Hg 0.000 2.081 2.760
H 1.802 1.040 0.732
```

Record 6
Calculated powder diffraction line list of Ca6ZnAu for Cu Kα (weighted mean of Kα1 and Kα2), from a DFT-relaxed cell (PBE, Alexandria).

Peak list (10 most intense, 15 to 90 degrees two-theta, most intense first)
- 2θ 30.51, I = 100
- 2θ 33.98, I = 46
- 2θ 37.34, I = 35
- 2θ 58.67, I = 29
- 2θ 17.45, I = 25
- 2θ 18.76, I = 20
- 2θ 45.40, I = 19
- 2θ 35.32, I = 19
- 2θ 21.96, I = 16
- 2θ 48.82, I = 16

Structural model:
```
8
Lattice="-2.638 2.638 9.462 2.638 -2.638 9.462 2.638 2.638 -9.462" Properties=species:S:1:pos:R:3 pbc="T T T"
Ca 2.638 0.000 1.758
Ca 0.000 0.000 4.705
Ca 2.638 0.000 7.705
Ca 0.000 2.638 1.758
Ca 0.000 0.000 14.220
Ca 0.000 2.638 7.705
Zn 0.000 0.000 0.000
Au 0.000 0.000 9.462
```

Record 7
Calculated powder diffraction line list of Pm3Si6IrPd2 for Cu Kα (weighted mean of Kα1 and Kα2), from a DFT-relaxed cell (PBE, Alexandria).

Peak list (10 most intense, 15 to 90 degrees two-theta, most intense first)
- 2θ 30.81, I = 100
- 2θ 38.39, I = 60
- 2θ 28.62, I = 60
- 2θ 42.55, I = 36
- 2θ 49.27, I = 22
- 2θ 53.45, I = 20
- 2θ 54.79, I = 19
- 2θ 64.19, I = 18
- 2θ 59.90, I = 17
- 2θ 68.27, I = 15

Structural model:
```
12
Lattice="5.804 0.000 0.000 -2.902 5.026 0.000 0.000 0.000 7.957" Properties=species:S:1:pos:R:3 pbc="T T T"
Pm 0.000 0.000 0.000
Pm 0.000 3.351 5.029
Pm 2.902 1.675 2.928
Si 0.000 1.933 2.369
Si -1.228 4.060 2.369
Si 1.674 0.967 5.588
Si 1.228 4.060 2.369
Si 4.130 0.967 5.588
Si 2.902 3.093 5.588
Ir 0.000 0.000 3.978
Pd 0.000 3.351 0.321
Pd 2.902 1.675 7.635
```

Record 8
Calculated powder diffraction line list of Li6CuB4O10 for Cu Kα (weighted mean of Kα1 and Kα2), from a DFT-relaxed cell (PBE, Alexandria).

Peak list (10 most intense, 15 to 90 degrees two-theta, most intense first)
- 2θ 29.35, I = 100
- 2θ 20.91, I = 38
- 2θ 18.35, I = 33
- 2θ 29.93, I = 31
- 2θ 19.93, I = 28
- 2θ 27.40, I = 23
- 2θ 44.74, I = 20
- 2θ 28.06, I = 19
- 2θ 37.15, I = 19
- 2θ 36.76, I = 16

Structural model:
```
21
Lattice="4.902 0.000 0.000 2.043 6.310 0.000 2.242 0.565 6.854" Properties=species:S:1:pos:R:3 pbc="T T T"
Li 0.000 0.000 0.000
Li 2.680 2.843 5.726
Li 4.749 1.400 5.530
Li 5.728 4.583 5.095
Li 5.800 2.542 3.545
Li 5.945 3.196 0.904
Cu 6.399 5.419 2.506
B 2.381 0.697 3.977
B 3.557 3.622 3.521
B 2.278 0.828 1.384
B 3.645 3.941 0.976
O 1.799 1.041 2.716
O 2.426 4.584 0.927
O 1.520 1.329 0.361
O 4.290 3.170 4.577
O 5.562 6.255 4.098
O 4.221 3.602 2.256
O 3.441 0.164 1.183
O 6.595 4.146 6.743
O 6.636 1.245 5.049
O 7.144 4.009 3.666
```

Record 9
Calculated powder diffraction line list of Y2Zn2GaPt5 for Cu Kα (weighted mean of Kα1 and Kα2), from a DFT-relaxed cell (PBE, Alexandria).

Peak list (10 most intense, 15 to 90 degrees two-theta, most intense first)
- 2θ 37.96, I = 100
- 2θ 38.41, I = 50
- 2θ 41.39, I = 46
- 2θ 23.69, I = 30
- 2θ 48.49, I = 27
- 2θ 63.49, I = 23
- 2θ 35.52, I = 21
- 2θ 39.57, I = 18
- 2θ 45.63, I = 17
- 2θ 31.56, I = 16

Structural model:
```
20
Lattice="9.663 0.000 0.000 0.000 9.663 0.000 0.000 0.000 3.755" Properties=species:S:1:pos:R:3 pbc="T T T"
Y 1.693 3.139 0.000
Y 3.139 7.971 0.000
Y 6.524 1.693 0.000
Y 7.971 6.524 0.000
Zn 1.192 6.024 0.000
Zn 3.639 1.192 0.000
Zn 6.024 8.471 0.000
Zn 8.471 3.639 0.000
Ga 0.000 0.000 0.000
Ga 4.832 4.832 0.000
Pt 0.000 4.832 1.878
Pt 0.610 7.716 1.878
Pt 1.948 0.610 1.878
Pt 2.884 5.441 1.878
Pt 4.222 2.884 1.878
Pt 4.832 0.000 1.878
Pt 5.441 6.779 1.878
Pt 6.779 4.222 1.878
Pt 7.716 9.054 1.878
Pt 9.054 1.948 1.878
```

Record 10
Calculated powder diffraction line list of CdPt4 for Cu Kα (weighted mean of Kα1 and Kα2), from a DFT-relaxed cell (PBE, Alexandria).

Peak list (10 most intense, 15 to 90 degrees two-theta, most intense first)
- 2θ 38.66, I = 100
- 2θ 39.00, I = 84
- 2θ 42.25, I = 40
- 2θ 41.45, I = 29
- 2θ 79.98, I = 24
- 2θ 51.23, I = 21
- 2θ 60.67, I = 19
- 2θ 68.50, I = 18
- 2θ 74.85, I = 15
- 2θ 43.30, I = 13

Structural model:
```
10
Lattice="-2.139 2.799 6.941 2.139 -2.799 6.941 2.139 2.799 -6.941" Properties=species:S:1:pos:R:3 pbc="T T T"
Cd 0.000 1.399 1.431
Cd 2.139 1.399 5.510
Pt 2.139 0.000 0.000
Pt 2.139 -1.399 5.485
Pt 2.139 -0.042 2.695
Pt 2.139 2.757 -2.695
Pt 0.000 0.000 6.941
Pt 0.000 0.042 9.636
Pt 0.000 2.841 4.245
Pt 0.000 4.198 1.455
```

Record 11
Calculated powder diffraction line list of BaTaNbS6 for Cu Kα (weighted mean of Kα1 and Kα2), from a DFT-relaxed cell (PBE, Alexandria).

Peak list (10 most intense, 15 to 90 degrees two-theta, most intense first)
- 2θ 20.56, I = 100
- 2θ 38.45, I = 49
- 2θ 27.63, I = 29
- 2θ 44.90, I = 27
- 2θ 34.69, I = 22
- 2θ 48.85, I = 16
- 2θ 30.65, I = 15
- 2θ 43.06, I = 13
- 2θ 61.30, I = 12
- 2θ 51.93, I = 11

Structural model:
```
9
Lattice="6.458 0.000 0.000 -3.229 5.593 0.000 0.000 0.000 6.800" Properties=species:S:1:pos:R:3 pbc="T T T"
Ba 0.000 0.000 0.000
Ta 0.000 3.729 3.739
Nb 3.229 1.864 3.159
S -1.917 3.463 2.030
S 1.188 2.201 2.030
S 2.580 0.060 4.920
S 1.991 3.328 4.920
S 0.728 5.521 2.030
S 5.116 2.205 4.920
```

Record 12
Calculated powder diffraction line list of NdDy3YEr for Cu Kα (weighted mean of Kα1 and Kα2), from a DFT-relaxed cell (PBE, Alexandria).

Peak list (10 most intense, 15 to 90 degrees two-theta, most intense first)
- 2θ 31.90, I = 100
- 2θ 33.60, I = 89
- 2θ 31.18, I = 50
- 2θ 60.79, I = 44
- 2θ 28.87, I = 40
- 2θ 50.77, I = 38
- 2θ 54.83, I = 21
- 2θ 58.14, I = 19
- 2θ 86.87, I = 18
- 2θ 61.22, I = 15

Structural model:
```
12
Lattice="9.554 0.000 0.000 0.000 3.598 0.000 -4.144 0.000 11.217" Properties=species:S:1:pos:R:3 pbc="T T T"
Nd 0.693 0.900 1.437
Nd 4.717 2.699 9.780
Dy -1.013 0.900 4.541
Dy 0.352 2.699 7.314
Dy 3.732 2.699 1.100
Dy 1.677 0.900 10.117
Dy 5.057 0.900 3.903
Dy 6.423 2.699 6.676
Y -1.756 0.900 9.481
Y 7.166 2.699 1.736
Er 2.037 2.699 4.239
Er 3.373 0.900 6.978
```